Starting from a GGA-PBE-relaxed structure, the powder diffraction line list of Ba6PtBr was calculated for Cu Kα.
No peak broadening, texture or thermal motion is included.

Cell and atoms:
Cell: 8.0662 8.0662 15.2918 Å, 90.00 90.00 120.00°
Space group P-31c (No. 163)
Symmetry-distinct sites (fractional):
1 Ba 0.0086 0.3240 0.1181 [12 per cell]
2 Pt 0.0000 0.0000 0.0000 [2 per cell]
3 Br 0.3333 0.6667 0.7500 [2 per cell]

Peak list (8 most intense, 15° ≤ 2θ ≤ 90°, by angle)
- 17.19°, rel. 288
- 24.96°, rel. 1000
- 32.26°, rel. 502
- 38.67°, rel. 369
- 41.93°, rel. 255
- 46.58°, rel. 173
- 62.09°, rel. 150
- 62.90°, rel. 187